Entry 1:
Structure and calculated XRD peak list of Hf2AlGa (a crystal structure in Alexandria, relaxed with PBE; Cu Ka).

Atomic structure:
Lattice parameters (Å, degrees): 4.208 3.306 10.788 90.00 90.00 90.00
Space group Amm2 (No. 38)
One atom of each set of equivalent atoms:
1 Hf 0.000 0.000 0.000 [2 per cell]
2 Hf 0.500 0.000 0.324 [2 per cell]
3 Al 0.500 0.000 0.590 [2 per cell]
4 Ga 0.000 0.000 0.735 [2 per cell]

Largest 10 diffraction maxima, low angle first, 15° ≤ 2θ ≤ 90°:
d/Å, Rel. int.
5.394, 14
3.318, 48
2.697, 14
2.527, 100
2.434, 53
2.271, 44
2.105, 33
1.660, 22
1.592, 29
1.336, 16

***

Entry 2:
Structure and calculated XRD peak list of GaSnSbO6 (a crystal structure in Alexandria, relaxed with PBE; Cu Ka).

Atomic structure:
Lattice parameters (Å, degrees): 5.1461 5.1461 9.0126 90.00 90.00 120.00
Space group P-31c (No. 163)
One atom of each set of equivalent atoms:
1 Ga 0.3333 0.6667 0.2500 [2 per cell]
2 Sn 0.0000 0.0000 0.0000 [2 per cell]
3 Sb 0.3333 0.6667 0.7500 [2 per cell]
4 O 0.0009 0.3447 0.1301 [12 per cell]

Largest 10 diffraction maxima, low angle first, 15° ≤ 2θ ≤ 90°:
d/Å, Rel. int.
3.169, 100
2.573, 42
2.234, 9
1.997, 27
1.695, 43
1.578, 26
1.486, 17
1.423, 9
1.192, 11
1.117, 11

***

Entry 3:
Structure and calculated XRD peak list of CaPuHgPt (a crystal structure in Alexandria, relaxed with PBE; Cu Ka).

Atomic structure:
Lattice parameters (Å, degrees): 7.274 7.274 7.274 90.00 90.00 90.00
Space group F-43m (No. 216)
One atom of each set of equivalent atoms:
1 Ca 0.000 0.000 0.000 [4 per cell]
2 Pu 0.000 0.000 0.500 [4 per cell]
3 Hg 0.250 0.250 0.250 [4 per cell]
4 Pt 0.250 0.250 0.750 [4 per cell]

Largest 10 diffraction maxima, low angle first, 15° ≤ 2θ ≤ 90°:
d/Å, Rel. int.
4.200, 18
2.572, 100
2.193, 11
1.819, 18
1.669, 5
1.485, 38
1.400, 4
1.286, 12
1.230, 4
1.150, 17